# 1
The following is a simulated powder diffractogram of Ti5FeRh4. It was derived from a DFT-relaxed cell (PBE, Alexandria), using Cu Kα (λ = 1.5418 Å).

Crystal structure
```
data_Ti5FeRh4
_chemical_formula_sum 'Ti5 Fe1 Rh4'
_cell_length_a 2.970
_cell_length_b 2.970
_cell_length_c 16.574
_cell_angle_alpha 90.00
_cell_angle_beta 90.00
_cell_angle_gamma 90.00
_symmetry_space_group_name_H-M 'P 4/m m m'
_symmetry_Int_Tables_number 123
_symmetry_space_group_name_Hall '-P 4 2'
loop_
_atom_site_label
_atom_site_type_symbol
_atom_site_fract_x
_atom_site_fract_y
_atom_site_fract_z
_atom_site_occupancy
Ti1 Ti 0.000 0.000 0.000 1
Ti2 Ti 0.000 0.000 0.207 1
Ti3 Ti 0.000 0.000 0.411 1
Fe1 Fe 0.500 0.500 0.500 1
Rh1 Rh 0.500 0.500 0.106 1
Rh2 Rh 0.500 0.500 0.310 1
```

Peak list (10 most intense, 5° ≤ 2θ ≤ 70°, by intensity)
- 2θ = 40.80°, intensity 1000, hkl 1 0 5
- 2θ = 43.08°, intensity 452, hkl 1 1 0
- 2θ = 30.09°, intensity 142, hkl 1 0 0
- 2θ = 62.56°, intensity 141, hkl 2 0 0
- 2θ = 26.90°, intensity 91, hkl 0 0 5
- 2θ = 55.44°, intensity 81, hkl 0 0 10
- 2θ = 51.52°, intensity 64, hkl 1 1 5
- 2θ = 37.25°, intensity 59, hkl 1 0 4
- 2θ = 67.67°, intensity 33, hkl 1 1 9
- 2θ = 64.37°, intensity 29, hkl 1 0 10

=====

# 2
The following is a simulated powder diffractogram of Ce3Al2Cu4. It was derived from a DFT-relaxed cell (PBE, Alexandria), using Cu Kα (λ = 1.5418 Å).

Crystal structure
```
data_Ce3Al2Cu4
_chemical_formula_sum 'Ce6 Al4 Cu8'
_cell_length_a 10.672
_cell_length_b 4.421
_cell_length_c 8.311
_cell_angle_alpha 90.00
_cell_angle_beta 115.12
_cell_angle_gamma 90.00
_symmetry_space_group_name_H-M 'C 1 2/m 1'
_symmetry_Int_Tables_number 12
_symmetry_space_group_name_Hall '-C 2y'
loop_
_atom_site_label
_atom_site_type_symbol
_atom_site_fract_x
_atom_site_fract_y
_atom_site_fract_z
_atom_site_occupancy
Ce1 Ce 0.000 0.000 0.000 1
Ce2 Ce 0.130 0.500 0.673 1
Al1 Al 0.158 0.500 0.317 1
Cu1 Cu 0.089 0.000 0.414 1
Cu2 Cu 0.226 0.500 0.060 1
```

Peak list (10 most intense, 5° ≤ 2θ ≤ 70°, by intensity)
- 2θ = 35.44°, intensity 1000, hkl 1 1 2
- 2θ = 40.48°, intensity 840, hkl 3 1 -3
- 2θ = 34.46°, intensity 692, hkl 3 1 0
- 2θ = 40.82°, intensity 524, hkl 0 2 0
- 2θ = 23.17°, intensity 494, hkl 1 1 -1
- 2θ = 32.30°, intensity 442, hkl 3 1 -1
- 2θ = 35.80°, intensity 385, hkl 0 0 3
- 2θ = 33.82°, intensity 372, hkl 4 0 -1
- 2θ = 55.40°, intensity 216, hkl 0 2 3
- 2θ = 54.01°, intensity 190, hkl 4 2 -1

=====

# 3
The following is a simulated powder diffractogram of Ce2As4Ru5. It was derived from a DFT-relaxed cell (PBE, Alexandria), using Cu Kα (λ = 1.5418 Å).

Crystal structure
```
data_Ce2As4Ru5
_chemical_formula_sum 'Ce8 As16 Ru20'
_cell_length_a 5.697
_cell_length_b 9.852
_cell_length_c 14.480
_cell_angle_alpha 90.00
_cell_angle_beta 90.00
_cell_angle_gamma 90.00
_symmetry_space_group_name_H-M 'F m m m'
_symmetry_Int_Tables_number 69
_symmetry_space_group_name_Hall '-F 2 2'
loop_
_atom_site_label
_atom_site_type_symbol
_atom_site_fract_x
_atom_site_fract_y
_atom_site_fract_z
_atom_site_occupancy
Ce1 Ce 0.000 0.000 0.125 1
As1 As 0.000 0.159 0.370 1
Ru1 Ru 0.000 0.000 0.500 1
Ru2 Ru 0.250 0.250 0.000 1
Ru3 Ru 0.250 0.250 0.250 1
```

Peak list (10 most intense, 5° ≤ 2θ ≤ 70°, by intensity)
- 2θ = 36.45°, intensity 1000, hkl 2 2 0
- 2θ = 40.29°, intensity 979, hkl 2 0 4
- 2θ = 36.66°, intensity 911, hkl 1 3 3
- 2θ = 30.65°, intensity 552, hkl 0 2 4
- 2θ = 65.60°, intensity 507, hkl 4 0 0
- 2θ = 44.65°, intensity 422, hkl 1 3 5
- 2θ = 32.06°, intensity 422, hkl 1 3 1
- 2θ = 44.47°, intensity 417, hkl 0 4 4
- 2θ = 63.79°, intensity 386, hkl 2 2 8
- 2θ = 50.42°, intensity 379, hkl 0 0 8